[1]
Diffraction record for SrAc5La2. The powder diffraction line list is computed, not measured: it uses a GGA-PBE-relaxed structure and Cu Kα.
Lines closer than 0.1° are merged.

Cell and atoms:
Cell lengths 3.945, 12.175, 14.755 Å; angles 90.00, 90.00, 90.00 degrees
Positions (direct):
Sr1 0.000 0.000 0.000
Sr2 0.500 0.500 0.500
Ac1 0.000 0.230 0.366
Ac2 0.000 0.230 0.634
Ac3 0.000 0.500 0.000
Ac4 0.000 0.770 0.366
Ac5 0.000 0.770 0.634
Ac6 0.500 0.000 0.500
Ac7 0.500 0.270 0.134
Ac8 0.500 0.270 0.866
Ac9 0.500 0.730 0.134
Ac10 0.500 0.730 0.866
La1 0.000 0.500 0.252
La2 0.000 0.500 0.748
La3 0.500 0.000 0.248
La4 0.500 0.000 0.752

Peak list (10 most intense, 10° ≤ 2θ ≤ 80°, sorted by position)
2theta, Rel. int.
27.6, 810
28.3, 1000
29.0, 505
29.3, 416
31.6, 204
34.1, 164
41.7, 320
50.5, 176
51.4, 390
54.9, 324

[2]
Diffraction record for Ce3Cd4Hg2. The powder diffraction line list is computed, not measured: it uses a GGA-PBE-relaxed structure and Cu Kα.
Lines closer than 0.1° are merged.

Cell and atoms:
Cell lengths 7.864, 7.864, 4.412 Å; angles 90.00, 90.00, 120.00 degrees
Positions (direct):
Ce1 0.000 0.578 0.000
Ce2 0.422 0.422 0.000
Ce3 0.578 0.000 0.000
Cd1 0.000 0.000 0.000
Cd2 0.000 0.247 0.500
Cd3 0.247 0.000 0.500
Cd4 0.753 0.753 0.500
Hg1 0.333 0.667 0.500
Hg2 0.667 0.333 0.500

Peak list (10 most intense, 10° ≤ 2θ ≤ 80°, sorted by position)
2theta, Rel. int.
22.6, 135
30.5, 819
33.2, 1000
34.9, 415
39.7, 316
40.6, 315
40.9, 293
54.8, 223
58.3, 203
63.1, 259

[3]
Diffraction record for HoSc5S6. The powder diffraction line list is computed, not measured: it uses a GGA-PBE-relaxed structure and Cu Kα.
Lines closer than 0.1° are merged.

Cell and atoms:
Cell lengths 6.456, 6.456, 6.456 Å; angles 99.56, 99.56, 120.18 degrees
Positions (direct):
Ho1 0.000 0.000 0.000
Sc1 0.163 0.837 0.500
Sc2 0.334 0.666 0.000
Sc3 0.500 0.500 0.500
Sc4 0.666 0.334 0.000
Sc5 0.837 0.163 0.500
S1 0.085 0.427 0.255
S2 0.257 0.257 0.747
S3 0.427 0.085 0.255
S4 0.573 0.915 0.745
S5 0.743 0.743 0.253
S6 0.915 0.573 0.745

Peak list (10 most intense, 10° ≤ 2θ ≤ 80°, sorted by position)
2theta, Rel. int.
14.6, 88
15.8, 79
16.6, 137
18.6, 105
21.6, 79
29.4, 199
34.0, 1000
48.8, 332
49.0, 330
60.9, 164

[4]
Diffraction record for Tb3PmEr7. The powder diffraction line list is computed, not measured: it uses a GGA-PBE-relaxed structure and Cu Kα.
Lines closer than 0.1° are merged.

Cell and atoms:
Cell lengths 6.901, 5.496, 9.873 Å; angles 90.00, 109.65, 90.00 degrees
Positions (direct):
Tb1 0.000 0.000 0.000
Tb2 0.221 0.500 0.504
Tb3 0.779 0.500 0.496
Pm1 0.500 0.000 0.000
Er1 0.076 0.000 0.669
Er2 0.178 0.500 0.859
Er3 0.351 0.500 0.210
Er4 0.500 0.000 0.500
Er5 0.649 0.500 0.790
Er6 0.822 0.500 0.141
Er7 0.924 0.000 0.331

Peak list (10 most intense, 10° ≤ 2θ ≤ 80°, sorted by position)
2theta, Rel. int.
31.7, 272
32.0, 1000
32.1, 185
32.2, 571
32.6, 839
33.2, 656
53.1, 193
57.8, 187
58.5, 254
63.7, 316

[5]
Diffraction record for NdPd6Au4. The powder diffraction line list is computed, not measured: it uses a GGA-PBE-relaxed structure and Cu Kα.
Lines closer than 0.1° are merged.

Cell and atoms:
Cell lengths 6.967, 6.967, 6.967 Å; angles 124.27, 124.27, 82.76 degrees
Positions (direct):
Nd1 0.000 0.000 0.000
Pd1 0.000 0.500 0.500
Pd2 0.249 0.249 0.683
Pd3 0.434 0.751 0.000
Pd4 0.500 0.000 0.500
Pd5 0.566 0.566 0.317
Pd6 0.751 0.434 0.000
Au1 0.090 0.562 0.000
Au2 0.438 0.438 0.528
Au3 0.562 0.090 0.000
Au4 0.910 0.910 0.472

Peak list (10 most intense, 10° ≤ 2θ ≤ 80°, sorted by position)
2theta, Rel. int.
25.8, 411
27.4, 489
32.4, 993
39.1, 789
39.6, 1000
42.5, 303
44.4, 422
47.4, 607
56.9, 350
66.7, 336

[6]
Diffraction record for Rb2FeTeH. The powder diffraction line list is computed, not measured: it uses a GGA-PBE-relaxed structure and Cu Kα.
Lines closer than 0.1° are merged.

Cell and atoms:
Cell lengths 13.735, 4.271, 5.736 Å; angles 90.00, 113.80, 90.00 degrees
Positions (direct):
Rb1 0.000 0.000 0.000
Rb2 0.197 0.000 0.704
Rb3 0.500 0.500 0.000
Rb4 0.697 0.500 0.704
Fe1 0.289 0.500 0.279
Fe2 0.789 0.000 0.279
Te1 0.408 0.000 0.412
Te2 0.908 0.500 0.412
H1 0.158 0.500 0.113
H2 0.658 0.000 0.113

Peak list (10 most intense, 10° ≤ 2θ ≤ 80°, sorted by position)
2theta, Rel. int.
26.1, 434
26.5, 458
29.6, 938
29.8, 1000
31.2, 582
41.7, 490
42.3, 292
52.6, 239
53.3, 237
53.5, 243

[7]
Diffraction record for Cs3Sn2Cl7. The powder diffraction line list is computed, not measured: it uses a GGA-PBE-relaxed structure and Cu Kα.
Lines closer than 0.1° are merged.

Cell and atoms:
Cell lengths 14.433, 14.433, 5.563 Å; angles 90.00, 90.00, 157.30 degrees
Positions (direct):
Cs1 0.000 0.000 0.000
Cs2 0.184 0.816 0.000
Cs3 0.816 0.184 0.000
Sn1 0.397 0.603 0.500
Sn2 0.603 0.397 0.500
Cl1 0.101 0.899 0.500
Cl2 0.300 0.700 0.500
Cl3 0.397 0.603 0.000
Cl4 0.500 0.500 0.500
Cl5 0.603 0.397 0.000
Cl6 0.700 0.300 0.500
Cl7 0.899 0.101 0.500

Peak list (10 most intense, 10° ≤ 2θ ≤ 80°, sorted by position)
2theta, Rel. int.
22.2, 909
22.6, 1000
24.7, 621
27.4, 658
31.5, 635
31.6, 461
32.2, 597
39.4, 426
41.8, 378
45.7, 745

[8]
Diffraction record for Ca2Hg3Au2. The powder diffraction line list is computed, not measured: it uses a GGA-PBE-relaxed structure and Cu Kα.
Lines closer than 0.1° are merged.

Cell and atoms:
Cell lengths 4.419, 20.926, 3.789 Å; angles 90.00, 90.00, 90.00 degrees
Positions (direct):
Ca1 0.000 0.163 0.000
Ca2 0.000 0.837 0.000
Ca3 0.500 0.337 0.000
Ca4 0.500 0.663 0.000
Hg1 0.000 0.000 0.000
Hg2 0.000 0.428 0.500
Hg3 0.000 0.572 0.500
Hg4 0.500 0.072 0.500
Hg5 0.500 0.500 0.000
Hg6 0.500 0.928 0.500
Au1 0.000 0.291 0.500
Au2 0.000 0.709 0.500
Au3 0.500 0.209 0.500
Au4 0.500 0.791 0.500

Peak list (10 most intense, 10° ≤ 2θ ≤ 80°, sorted by position)
2theta, Rel. int.
23.5, 264
31.4, 1000
35.0, 328
36.3, 744
40.8, 290
42.0, 238
43.7, 235
48.0, 183
54.8, 181
61.6, 323

[9]
Diffraction record for La2Y3Ho9. The powder diffraction line list is computed, not measured: it uses a GGA-PBE-relaxed structure and Cu Kα.
Lines closer than 0.1° are merged.

Cell and atoms:
Cell lengths 6.431, 8.417, 8.906 Å; angles 88.06, 83.49, 71.11 degrees
Positions (direct):
La1 0.000 0.000 0.000
La2 0.151 0.655 0.190
Y1 0.335 0.114 0.743
Y2 0.528 0.313 0.023
Y3 0.674 0.619 0.396
Ho1 0.068 0.268 0.236
Ho2 0.193 0.922 0.445
Ho3 0.214 0.460 0.527
Ho4 0.396 0.672 0.773
Ho5 0.541 0.870 0.068
Ho6 0.630 0.082 0.365
Ho7 0.796 0.269 0.644
Ho8 0.827 0.839 0.687
Ho9 0.951 0.492 0.902

Peak list (10 most intense, 10° ≤ 2θ ≤ 80°, sorted by position)
2theta, Rel. int.
30.2, 450
31.3, 669
31.5, 444
31.7, 584
32.3, 1000
32.4, 269
32.7, 201
33.3, 257
43.0, 158
55.6, 145

[10]
Diffraction record for PtSeO4. The powder diffraction line list is computed, not measured: it uses a GGA-PBE-relaxed structure and Cu Kα.
Lines closer than 0.1° are merged.

Cell and atoms:
Cell lengths 5.097, 6.764, 5.181 Å; angles 90.00, 108.50, 90.00 degrees
Positions (direct):
Pt1 0.000 0.129 0.250
Pt2 0.000 0.871 0.750
Se1 0.500 0.199 0.750
Se2 0.500 0.801 0.250
O1 0.220 0.092 0.982
O2 0.220 0.908 0.482
O3 0.272 0.346 0.507
O4 0.272 0.654 0.007
O5 0.728 0.346 0.993
O6 0.728 0.654 0.493
O7 0.780 0.092 0.518
O8 0.780 0.908 0.018

Peak list (10 most intense, 10° ≤ 2θ ≤ 80°, sorted by position)
2theta, Rel. int.
13.1, 1000
18.4, 207
22.6, 271
25.1, 815
32.1, 171
32.6, 345
34.1, 228
40.2, 410
43.4, 207
55.8, 175

[11]
Diffraction record for Na5B7C3. The powder diffraction line list is computed, not measured: it uses a GGA-PBE-relaxed structure and Cu Kα.
Lines closer than 0.1° are merged.

Cell and atoms:
Cell lengths 5.161, 7.456, 9.110 Å; angles 92.64, 106.44, 110.24 degrees
Positions (direct):
Na1 0.000 0.000 0.000
Na2 0.100 0.699 0.499
Na3 0.200 0.401 0.000
Na4 0.304 0.100 0.500
Na5 0.400 0.800 0.000
Na6 0.500 0.500 0.500
Na7 0.600 0.200 0.000
Na8 0.696 0.900 0.500
Na9 0.800 0.599 0.000
Na10 0.900 0.301 0.501
B1 0.004 0.456 0.250
B2 0.097 0.144 0.750
B3 0.097 0.244 0.250
B4 0.217 0.951 0.750
B5 0.229 0.849 0.250
B6 0.402 0.356 0.750
B7 0.430 0.251 0.250
B8 0.570 0.749 0.750
B9 0.598 0.644 0.250
B10 0.771 0.151 0.750
B11 0.783 0.049 0.250
B12 0.903 0.756 0.750
B13 0.903 0.856 0.250
B14 0.996 0.544 0.750
C1 0.287 0.647 0.250
C2 0.310 0.547 0.750
C3 0.489 0.050 0.250
C4 0.511 0.950 0.750
C5 0.690 0.453 0.250
C6 0.713 0.353 0.750

Peak list (10 most intense, 10° ≤ 2θ ≤ 80°, sorted by position)
2theta, Rel. int.
34.8, 122
36.5, 158
40.7, 487
41.9, 387
42.3, 1000
56.8, 92
63.5, 88
63.5, 88
76.8, 131
79.0, 172

[12]
Diffraction record for TlCd4Hg7. The powder diffraction line list is computed, not measured: it uses a GGA-PBE-relaxed structure and Cu Kα.
Lines closer than 0.1° are merged.

Cell and atoms:
Cell lengths 7.959, 7.959, 13.558 Å; angles 119.12, 119.12, 25.00 degrees
Positions (direct):
Tl1 0.000 0.000 0.000
Cd1 0.227 0.227 0.516
Cd2 0.280 0.280 0.890
Cd3 0.470 0.470 0.696
Cd4 0.758 0.758 0.193
Hg1 0.105 0.105 0.641
Hg2 0.126 0.126 0.265
Hg3 0.400 0.400 0.144
Hg4 0.520 0.520 0.401
Hg5 0.643 0.643 0.935
Hg6 0.824 0.824 0.734
Hg7 0.864 0.864 0.450

Peak list (10 most intense, 10° ≤ 2θ ≤ 80°, sorted by position)
2theta, Rel. int.
30.4, 146
31.3, 392
31.6, 1000
33.8, 128
34.8, 289
35.0, 134
38.2, 260
40.1, 185
46.4, 152
53.2, 152

[13]
Diffraction record for ZnGe2As3. The powder diffraction line list is computed, not measured: it uses a GGA-PBE-relaxed structure and Cu Kα.
Lines closer than 0.1° are merged.

Cell and atoms:
Cell lengths 7.014, 7.014, 7.415 Å; angles 99.98, 99.98, 120.33 degrees
Positions (direct):
Zn1 0.084 0.916 0.500
Zn2 0.916 0.084 0.000
Ge1 0.238 0.746 0.992
Ge2 0.404 0.570 0.501
Ge3 0.570 0.404 0.001
Ge4 0.746 0.238 0.492
As1 0.028 0.187 0.358
As2 0.187 0.028 0.858
As3 0.359 0.857 0.360
As4 0.531 0.698 0.874
As5 0.698 0.531 0.374
As6 0.857 0.359 0.860

Peak list (10 most intense, 10° ≤ 2θ ≤ 80°, sorted by position)
2theta, Rel. int.
25.6, 492
26.7, 1000
27.3, 518
42.8, 542
44.1, 246
44.7, 241
44.9, 473
51.4, 190
51.7, 154
53.1, 157